Starting from a structure optimized by DFT (PBE+U), the X-ray powder pattern of Ba2Fe3O7 was calculated for λ = 1.5418 Å (Cu Kα).

Largest 10 diffraction maxima, in order of rising 2θ, 10 to 80 degrees two-theta:
2θ/deg  intensity
14.06  24
27.47  100
31.81  79
33.45  57
35.64  36
48.03  39
49.67  37
56.22  26
58.77  27
61.22  27

Structural model:
```
data_Ba2Fe3O7
_chemical_formula_sum 'Ba2 Fe3 O7'
_symmetry_space_group_name_H-M 'P m m 2'
_symmetry_Int_Tables_number 25
_cell_length_a 3.7887
_cell_length_b 12.5969
_cell_length_c 3.7885
_cell_angle_alpha 90.00
_cell_angle_beta 90.00
_cell_angle_gamma 90.00
loop_
_symmetry_equiv_pos_as_xyz
'x,y,z'
'-x,-y,z'
'-x,y,z'
'x,-y,z'
loop_
_atom_site_label
_atom_site_type_symbol
_atom_site_fract_x
_atom_site_fract_y
_atom_site_fract_z
Ba1 Ba 0.0000 0.1984 0.0000
Fe1 Fe 0.5000 0.0000 0.4846
Fe2 Fe 0.5000 0.3897 0.4990
O1 O 0.0000 0.0000 0.4361
O2 O 0.0000 0.3665 0.4983
O3 O 0.5000 0.1459 0.5036
O4 O 0.5000 0.3646 0.9989
```